[1]
For BaMgAgO2, a crystal structure in the Materials Project, relaxed with GGA-PBE gives the computed PXRD pattern in this record (Cu Kα).
Kinematic intensities with the Lorentz-polarization factor, no thermal factor.

Structure:
abc: 4.2862 4.2862 6.4268
angles: 90.00 90.00 90.00
Atoms (fractional coordinates):
Ba 0.0000 0.0000 0.0000
Mg 0.0000 0.0000 0.5000
Ag 0.5000 0.5000 0.5000
O 0.0000 0.5000 0.5000
O 0.5000 0.0000 0.5000

Top 12 peaks for 2θ = 15–90°, by intensity:
- 24.97 deg, 3.566 Å, intensity 100.0
- 29.47 deg, 3.031 Å, intensity 38.2
- 27.76 deg, 3.213 Å, intensity 37.6
- 40.93 deg, 2.205 Å, intensity 31.6
- 49.63 deg, 1.837 Å, intensity 30.0
- 51.24 deg, 1.783 Å, intensity 25.5
- 42.17 deg, 2.143 Å, intensity 23.4
- 47.44 deg, 1.916 Å, intensity 18.0
- 65.32 deg, 1.428 Å, intensity 13.2
- 76.24 deg, 1.249 Å, intensity 10.5
- 68.45 deg, 1.371 Å, intensity 10.2
- 73.69 deg, 1.286 Å, intensity 8.2

=====

[2]
For Nd2SnS5, a crystal structure in the Materials Project, relaxed with GGA-PBE gives the computed PXRD pattern in this record (Cu Kα).
Kinematic intensities with the Lorentz-polarization factor, no thermal factor.

Structure:
abc: 7.8750 11.3435 3.9691
angles: 90.00 90.00 90.00
Atoms (fractional coordinates):
Nd 0.0608 0.1702 0.0000
Nd 0.4392 0.6702 0.0000
Nd 0.5608 0.3298 0.0000
Nd 0.9392 0.8298 0.0000
Sn 0.0000 0.5000 0.5000
Sn 0.5000 0.0000 0.5000
S 0.0000 0.0000 0.5000
S 0.1545 0.7009 0.5000
S 0.1847 0.4222 0.0000
S 0.3153 0.9222 0.0000
S 0.3455 0.2009 0.5000
S 0.5000 0.5000 0.5000
S 0.6545 0.7991 0.5000
S 0.6847 0.0778 0.0000
S 0.8153 0.5778 0.0000
S 0.8455 0.2991 0.5000

Top 12 peaks for 2θ = 15–90°, by intensity:
- 26.14 deg, 3.409 Å, intensity 100.0
- 35.81 deg, 2.507 Å, intensity 80.6
- 26.34 deg, 3.383 Å, intensity 76.1
- 33.00 deg, 2.714 Å, intensity 68.6
- 22.58 deg, 3.938 Å, intensity 57.3
- 34.69 deg, 2.586 Å, intensity 40.4
- 27.43 deg, 3.252 Å, intensity 39.1
- 47.59 deg, 1.911 Å, intensity 34.6
- 39.04 deg, 2.307 Å, intensity 34.0
- 45.72 deg, 1.985 Å, intensity 33.8
- 53.42 deg, 1.715 Å, intensity 29.7
- 44.35 deg, 2.043 Å, intensity 24.4

=====

[3]
For TbB2Ir2, a crystal structure in the Materials Project, relaxed with GGA-PBE gives the computed PXRD pattern in this record (Cu Kα).
Kinematic intensities with the Lorentz-polarization factor, no thermal factor.

Structure:
abc: 7.2008 6.2007 5.4968
angles: 75.72 56.57 47.71
Atoms (fractional coordinates):
Tb 0.1250 0.1250 0.1250
Tb 0.8750 0.8750 0.8750
B 0.1950 0.5550 0.1950
B 0.4450 0.8050 0.4450
B 0.5550 0.1950 0.5550
B 0.8050 0.4450 0.8050
Ir 0.2481 0.2481 0.5019
Ir 0.4981 0.4981 0.7519
Ir 0.5019 0.5019 0.2481
Ir 0.7519 0.7519 0.4981

Top 12 peaks for 2θ = 15–90°, by intensity:
- 30.46 deg, 2.935 Å, intensity 100.0
- 36.48 deg, 2.463 Å, intensity 94.2
- 41.15 deg, 2.194 Å, intensity 49.3
- 38.56 deg, 2.335 Å, intensity 41.6
- 45.27 deg, 2.003 Å, intensity 30.4
- 68.43 deg, 1.371 Å, intensity 24.8
- 19.76 deg, 4.494 Å, intensity 20.6
- 53.51 deg, 1.713 Å, intensity 20.5
- 80.15 deg, 1.197 Å, intensity 19.9
- 54.61 deg, 1.681 Å, intensity 19.9
- 25.05 deg, 3.555 Å, intensity 16.9
- 61.96 deg, 1.498 Å, intensity 16.7

=====

[4]
For CoCu3HgSe4, a crystal structure in the Materials Project, relaxed with GGA-PBE gives the computed PXRD pattern in this record (Cu Kα).
Kinematic intensities with the Lorentz-polarization factor, no thermal factor.

Structure:
abc: 5.8591 5.8591 5.8591
angles: 90.00 90.00 90.00
Atoms (fractional coordinates):
Co 0.0000 0.0000 0.0000
Cu 0.0000 0.0000 0.5000
Cu 0.0000 0.5000 0.0000
Cu 0.5000 0.0000 0.0000
Hg 0.5000 0.5000 0.5000
Se 0.2257 0.2257 0.2257
Se 0.2257 0.7743 0.7743
Se 0.7743 0.2257 0.7743
Se 0.7743 0.7743 0.2257

Top 12 peaks for 2θ = 15–90°, by intensity:
- 43.70 deg, 2.071 Å, intensity 100.0
- 26.35 deg, 3.383 Å, intensity 97.2
- 21.45 deg, 4.143 Å, intensity 44.2
- 51.75 deg, 1.767 Å, intensity 42.0
- 80.27 deg, 1.196 Å, intensity 28.0
- 37.60 deg, 2.392 Å, intensity 23.2
- 58.99 deg, 1.566 Å, intensity 15.4
- 69.99 deg, 1.344 Å, intensity 14.8
- 63.51 deg, 1.465 Å, intensity 14.7
- 86.27 deg, 1.128 Å, intensity 11.2
- 67.87 deg, 1.381 Å, intensity 9.9
- 84.28 deg, 1.149 Å, intensity 9.1

=====

[5]
For Ca3In2N4, a crystal structure in the Materials Project, relaxed with GGA-PBE gives the computed PXRD pattern in this record (Cu Kα).
Kinematic intensities with the Lorentz-polarization factor, no thermal factor.

Structure:
abc: 5.9964 11.1190 9.0679
angles: 90.00 90.00 90.00
Atoms (fractional coordinates):
Ca 0.1120 0.1614 0.0950
Ca 0.1120 0.3386 0.4050
Ca 0.2500 0.0000 0.4017
Ca 0.2500 0.5000 0.0983
Ca 0.3880 0.6614 0.4050
Ca 0.3880 0.8386 0.0950
Ca 0.6120 0.1614 0.9050
Ca 0.6120 0.3386 0.5950
Ca 0.7500 0.0000 0.5983
Ca 0.7500 0.5000 0.9017
Ca 0.8880 0.6614 0.5950
Ca 0.8880 0.8386 0.9050
In 0.1498 0.2500 0.7500
In 0.2500 0.0000 0.7499
In 0.2500 0.5000 0.7501
In 0.3502 0.7500 0.7500
In 0.6498 0.2500 0.2500
In 0.7500 0.0000 0.2501
In 0.7500 0.5000 0.2499
In 0.8502 0.7500 0.2500
N 0.0243 0.6006 0.3532
N 0.0243 0.8994 0.1468
N 0.0739 0.6410 0.8741
N 0.0739 0.8590 0.6259
N 0.4261 0.1410 0.6259
N 0.4261 0.3590 0.8741
N 0.4757 0.1006 0.1468
N 0.4757 0.3994 0.3532
N 0.5243 0.6006 0.6468
N 0.5243 0.8994 0.8532
N 0.5739 0.6410 0.1259
N 0.5739 0.8590 0.3741
N 0.9261 0.1410 0.3741
N 0.9261 0.3590 0.1259
N 0.9757 0.1006 0.8532
N 0.9757 0.3994 0.6468

Top 12 peaks for 2θ = 15–90°, by intensity:
- 17.73 deg, 5.002 Å, intensity 100.0
- 33.19 deg, 2.699 Å, intensity 74.4
- 19.58 deg, 4.534 Å, intensity 59.8
- 37.00 deg, 2.430 Å, intensity 51.9
- 46.92 deg, 1.936 Å, intensity 31.3
- 37.97 deg, 2.370 Å, intensity 31.2
- 30.89 deg, 2.895 Å, intensity 25.9
- 34.19 deg, 2.623 Å, intensity 25.9
- 44.44 deg, 2.038 Å, intensity 20.1
- 52.06 deg, 1.757 Å, intensity 17.0
- 57.73 deg, 1.597 Å, intensity 16.0
- 34.65 deg, 2.588 Å, intensity 15.6

=====

[6]
For Cs2LaCuCl6, a crystal structure in the Materials Project, relaxed with GGA-PBE gives the computed PXRD pattern in this record (Cu Kα).
Kinematic intensities with the Lorentz-polarization factor, no thermal factor.

Structure:
abc: 7.6087 7.6087 7.6087
angles: 60.00 60.00 60.00
Atoms (fractional coordinates):
Cs 0.2500 0.2500 0.2500
Cs 0.7500 0.7500 0.7500
La 0.0000 0.0000 0.0000
Cu 0.5000 0.5000 0.5000
Cl 0.2589 0.2589 0.7411
Cl 0.2589 0.7411 0.2589
Cl 0.2589 0.7411 0.7411
Cl 0.7411 0.2589 0.2589
Cl 0.7411 0.2589 0.7411
Cl 0.7411 0.7411 0.2589

Top 12 peaks for 2θ = 15–90°, by intensity:
- 23.38 deg, 3.804 Å, intensity 100.0
- 33.31 deg, 2.690 Å, intensity 60.8
- 41.10 deg, 2.196 Å, intensity 45.7
- 47.82 deg, 1.902 Å, intensity 41.2
- 64.84 deg, 1.438 Å, intensity 24.3
- 53.89 deg, 1.701 Å, intensity 21.4
- 28.74 deg, 3.106 Å, intensity 19.4
- 79.70 deg, 1.203 Å, intensity 17.5
- 59.52 deg, 1.553 Å, intensity 13.8
- 89.17 deg, 1.098 Å, intensity 13.6
- 74.88 deg, 1.268 Å, intensity 11.8
- 56.75 deg, 1.622 Å, intensity 6.7

=====

[7]
For SmFe12N, a crystal structure in the Materials Project, relaxed with GGA-PBE gives the computed PXRD pattern in this record (Cu Kα).
Kinematic intensities with the Lorentz-polarization factor, no thermal factor.

Structure:
abc: 6.4921 6.4921 6.4921
angles: 98.09 98.09 135.93
Atoms (fractional coordinates):
Sm 0.0000 0.0000 0.0000
Fe 0.0000 0.0000 0.5000
Fe 0.0000 0.3608 0.3608
Fe 0.0000 0.5000 0.0000
Fe 0.0000 0.6392 0.6392
Fe 0.2743 0.5000 0.7743
Fe 0.3608 0.0000 0.3608
Fe 0.5000 0.0000 0.0000
Fe 0.5000 0.2743 0.7743
Fe 0.5000 0.5000 0.5000
Fe 0.5000 0.7257 0.2257
Fe 0.6392 0.0000 0.6392
Fe 0.7257 0.5000 0.2257
N 0.5000 0.5000 0.0000

Top 12 peaks for 2θ = 15–90°, by intensity:
- 42.53 deg, 2.126 Å, intensity 100.0
- 42.78 deg, 2.114 Å, intensity 50.6
- 36.66 deg, 2.451 Å, intensity 26.8
- 29.77 deg, 3.001 Å, intensity 24.3
- 48.06 deg, 1.893 Å, intensity 15.8
- 47.83 deg, 1.902 Å, intensity 13.9
- 70.38 deg, 1.338 Å, intensity 12.6
- 36.91 deg, 2.436 Å, intensity 12.4
- 77.95 deg, 1.226 Å, intensity 11.8
- 77.79 deg, 1.228 Å, intensity 11.4
- 33.29 deg, 2.691 Å, intensity 10.0
- 61.68 deg, 1.504 Å, intensity 9.2